[1]
Theoretical X-ray powder pattern of MgHg2 for CuKα, from the GGA-PBE geometry in Alexandria.
Kinematic intensities with the Lorentz-polarization factor, no thermal factor.

Structure:
Cell: 6.687 6.687 6.499 Å, 90.00 90.00 90.00°
Positions (direct):
Mg: 0.000 0.000 0.250
Mg: 0.000 0.000 0.750
Mg: 0.500 0.500 0.250
Mg: 0.500 0.500 0.750
Hg: 0.162 0.338 0.000
Hg: 0.162 0.662 0.500
Hg: 0.338 0.162 0.500
Hg: 0.338 0.838 0.000
Hg: 0.662 0.162 0.000
Hg: 0.662 0.838 0.500
Hg: 0.838 0.338 0.500
Hg: 0.838 0.662 0.000

Main lines, in order of falling intensity (2θ = 10–90°):
(2 1 1), d = 2.717 Å, I = 100.0; (0 0 2), d = 3.250 Å, I = 30.0; (2 1 3), d = 1.754 Å, I = 28.0; (4 1 1), d = 1.574 Å, I = 16.2; (2 0 2), d = 2.330 Å, I = 15.1; (3 1 0), d = 2.115 Å, I = 14.7; (3 3 2), d = 1.418 Å, I = 13.5; (2 0 0), d = 3.344 Å, I = 11.0; (3 1 2), d = 1.772 Å, I = 10.6; (5 2 1), d = 1.220 Å, I = 10.4

=====

[2]
Theoretical X-ray powder pattern of Mg5Hg for CuKα, from the GGA-PBE geometry in Alexandria.
Kinematic intensities with the Lorentz-polarization factor, no thermal factor.

Structure:
Cell: 8.655 4.991 6.146 Å, 90.00 90.10 90.00°
Positions (direct):
Mg: 0.000 0.000 0.000
Mg: 0.000 0.000 0.495
Mg: 0.166 0.500 0.797
Mg: 0.167 0.500 0.292
Mg: 0.334 0.000 0.146
Mg: 0.500 0.500 0.000
Mg: 0.500 0.500 0.495
Mg: 0.666 0.000 0.797
Mg: 0.667 0.000 0.292
Mg: 0.834 0.500 0.146
Hg: 0.333 0.000 0.646
Hg: 0.833 0.500 0.646

Main lines, in order of falling intensity (2θ = 10–90°):
(1 1 -1), d = 3.537 Å, I = 100.0; (2 0 2), d = 2.505 Å, I = 87.9; (2 0 0), d = 4.325 Å, I = 79.5; (3 1 0), d = 2.497 Å, I = 72.1; (0 0 1), d = 6.146 Å, I = 56.6; (3 1 1), d = 2.313 Å, I = 32.4; (2 2 2), d = 1.768 Å, I = 31.0; (5 1 2), d = 1.443 Å, I = 27.5; (3 1 2), d = 1.938 Å, I = 24.6; (4 0 -1), d = 2.040 Å, I = 23.1